1.
This entry pairs a crystal structure of Si3Ru4 with its calculated PXRD pattern. Radiation: Cu Kα, 1.54184 Å. Structure: a cell relaxed with GGA-PBE.
Peak positions follow from Bragg's law for the DFT cell and can differ from measured ones.

Main lines, in order of rising 2θ (10° ≤ 2θ ≤ 90°):
2θ = 29.80°, I = 32, (1 1 2)
2θ = 30.93°, I = 18, (1 0 5)
2θ = 32.00°, I = 54, (1 1 3)
2θ = 40.25°, I = 19, (2 0 4)
2θ = 42.47°, I = 73, (2 1 2)
2θ = 42.84°, I = 100, (0 1 7)
2θ = 43.31°, I = 36, (2 0 5)
2θ = 44.12°, I = 35, (2 1 3)
2θ = 44.94°, I = 54, (0 2 0)
2θ = 64.18°, I = 22, (2 2 5)
2θ = 73.53°, I = 20, (3 1 8)
2θ = 81.43°, I = 15, (0 3 7)

```
data_Si3Ru4
_chemical_formula_sum 'Si12 Ru16'
_cell_length_a 5.2347
_cell_length_b 4.0342
_cell_length_c 17.3393
_cell_angle_alpha 90.00
_cell_angle_beta 90.00
_cell_angle_gamma 90.00
_symmetry_space_group_name_H-M 'P n m a'
_symmetry_Int_Tables_number 62
loop_
_symmetry_equiv_pos_as_xyz
'x,y,z'
'-x,-y,-z'
'-x+1/2,-y,z+1/2'
'x+1/2,y,-z+1/2'
'x+1/2,-y+1/2,-z+1/2'
'-x+1/2,y+1/2,z+1/2'
'-x,y+1/2,-z'
'x,-y+1/2,z'
loop_
_atom_site_label
_atom_site_fract_x
_atom_site_fract_y
_atom_site_fract_z
_atom_site_occupancy
Si1 0.0030 0.2500 0.1036 1
Si2 0.1207 0.7500 0.3090 1
Si3 0.1498 0.2500 0.5340 1
Ru1 0.0104 0.2500 0.3930 1
Ru2 0.1546 0.7500 0.7643 1
Ru3 0.1585 0.7500 0.1635 1
Ru4 0.1739 0.2500 0.9712 1
```

2.
This entry pairs a crystal structure of CuReO4 with its calculated PXRD pattern. Radiation: Cu Kα, 1.54184 Å. Structure: a cell relaxed with GGA-PBE.
Peak positions follow from Bragg's law for the DFT cell and can differ from measured ones.

Main lines, in order of rising 2θ (10° ≤ 2θ ≤ 90°):
2θ = 13.30°, I = 31, (0 1 -1)
2θ = 18.43°, I = 25, (1 1 -1)
2θ = 19.28°, I = 26, (1 1 0)
2θ = 24.32°, I = 53, (1 1 1)
2θ = 24.76°, I = 69, (0 1 2)
2θ = 26.79°, I = 100, (0 2 -2)
2θ = 28.92°, I = 41, (-2 1 1)
2θ = 31.81°, I = 27, (2 1 0)
2θ = 34.30°, I = 24, (2 -2 0)
2θ = 37.86°, I = 32, (2 -1 2)
2θ = 47.86°, I = 33, (1 2 3)
2θ = 55.69°, I = 25, (1 4 1)

```
data_CuReO4
_chemical_formula_sum 'Cu6 Re6 O24'
_cell_length_a 6.6329
_cell_length_b 7.8595
_cell_length_c 9.7471
_cell_angle_alpha 101.49
_cell_angle_beta 104.66
_cell_angle_gamma 94.05
_symmetry_space_group_name_H-M 'P -1'
_symmetry_Int_Tables_number 2
loop_
_symmetry_equiv_pos_as_xyz
'x,y,z'
'-x,-y,-z'
loop_
_atom_site_label
_atom_site_fract_x
_atom_site_fract_y
_atom_site_fract_z
_atom_site_occupancy
Cu1 0.0387 0.4578 0.1746 1
Cu2 0.2391 0.2127 0.9402 1
Cu3 0.3834 0.7893 0.5153 1
Re1 0.0964 0.1202 0.3962 1
Re2 0.2726 0.8665 0.1583 1
Re3 0.4494 0.4520 0.7358 1
O1 0.0094 0.9218 0.2319 1
O2 0.0468 0.2865 0.3008 1
O3 0.0768 0.6982 0.0288 1
O4 0.1362 0.9008 0.5378 1
O5 0.2133 0.4442 0.7930 1
O6 0.2817 0.0229 0.0522 1
O7 0.2898 0.2430 0.5598 1
O8 0.3071 0.6687 0.3000 1
O9 0.3654 0.0371 0.3485 1
O10 0.3701 0.4087 0.1083 1
O11 0.4059 0.5943 0.6154 1
O12 0.4783 0.2179 0.8468 1
```

3.
This entry pairs a crystal structure of K2LiLa4O7 with its calculated PXRD pattern. Radiation: Cu Kα, 1.54184 Å. Structure: a cell relaxed with GGA-PBE.
Peak positions follow from Bragg's law for the DFT cell and can differ from measured ones.

Main lines, in order of rising 2θ (10° ≤ 2θ ≤ 90°):
2θ = 19.33°, I = 18, (0 1 1)
2θ = 26.04°, I = 100, (0 1 2)
2θ = 28.83°, I = 84, (1 1 0)
2θ = 30.57°, I = 13, (2 -1 1)
2θ = 34.58°, I = 11, (0 1 3)
2θ = 39.23°, I = 36, (2 0 2)
2θ = 42.21°, I = 11, (2 -1 3)
2θ = 49.41°, I = 36, (3 -2 2)
2θ = 50.55°, I = 30, (1 1 4)
2θ = 51.09°, I = 24, (3 0 0)
2θ = 59.73°, I = 11, (2 2 0)
2θ = 66.25°, I = 14, (3 1 2)

```
data_K2LiLa4O7
_chemical_formula_sum 'K2 Li1 La4 O7'
_cell_length_a 6.1931
_cell_length_b 6.1931
_cell_length_c 8.8905
_cell_angle_alpha 90.00
_cell_angle_beta 90.00
_cell_angle_gamma 120.00
_symmetry_space_group_name_H-M 'P 3'
_symmetry_Int_Tables_number 143
loop_
_symmetry_equiv_pos_as_xyz
'x,y,z'
'-y,x-y,z'
'-x+y,-x,z'
loop_
_atom_site_label
_atom_site_fract_x
_atom_site_fract_y
_atom_site_fract_z
_atom_site_occupancy
K1 0.0000 0.0000 0.0000 1
K2 0.3333 0.6667 0.8983 1
Li1 0.3333 0.6667 0.2471 1
La1 0.0000 0.0000 0.4982 1
La2 0.3333 0.6667 0.5378 1
La3 0.6667 0.3333 0.2604 1
La4 0.6667 0.3333 0.7504 1
O1 0.0190 0.3242 0.6719 1
O2 0.0375 0.6783 0.3534 1
O3 0.6667 0.3333 0.0045 1
```

4.
This entry pairs a crystal structure of Y3Tm with its calculated PXRD pattern. Radiation: Cu Kα, 1.54184 Å. Structure: a cell relaxed with GGA-PBE.
Peak positions follow from Bragg's law for the DFT cell and can differ from measured ones.

Main lines, in order of rising 2θ (10° ≤ 2θ ≤ 90°):
2θ = 21.01°, I = 8, (1 0 1)
2θ = 28.46°, I = 24, (2 0 0)
2θ = 31.27°, I = 25, (0 0 2)
2θ = 32.55°, I = 100, (2 0 1)
2θ = 42.78°, I = 16, (2 0 2)
2θ = 50.39°, I = 19, (2 2 0)
2θ = 56.47°, I = 20, (2 0 3)
2θ = 60.51°, I = 22, (2 2 2)
2θ = 61.29°, I = 16, (4 0 1)
2θ = 79.05°, I = 7, (4 0 3)
2θ = 83.22°, I = 13, (4 2 1)
2θ = 86.75°, I = 8, (2 2 4)

```
data_Y3Tm
_chemical_formula_sum 'Y6 Tm2'
_cell_length_a 7.2437
_cell_length_b 7.2437
_cell_length_c 5.7217
_cell_angle_alpha 90.00
_cell_angle_beta 90.00
_cell_angle_gamma 120.00
_symmetry_space_group_name_H-M 'P 63/m m c'
_symmetry_Int_Tables_number 194
_symmetry_space_group_name_Hall '-P 6c 2c'
loop_
_atom_site_label
_atom_site_fract_x
_atom_site_fract_y
_atom_site_fract_z
_atom_site_occupancy
Y1 0.1676 0.3351 0.2500 1
Tm1 0.3333 0.6667 0.7500 1
```

5.
This entry pairs a crystal structure of SrAl2Pb2 with its calculated PXRD pattern. Radiation: Cu Kα, 1.54184 Å. Structure: a cell relaxed with GGA-PBE.
Peak positions follow from Bragg's law for the DFT cell and can differ from measured ones.

Main lines, in order of rising 2θ (10° ≤ 2θ ≤ 90°):
2θ = 20.48°, I = 65, (1 0 1)
2θ = 25.19°, I = 16, (0 0 4)
2θ = 27.23°, I = 100, (1 0 3)
2θ = 27.70°, I = 73, (1 1 0)
2θ = 37.43°, I = 57, (1 0 5)
2θ = 37.79°, I = 47, (1 1 4)
2θ = 39.57°, I = 45, (2 0 0)
2θ = 44.96°, I = 18, (2 1 1)
2θ = 48.69°, I = 42, (2 1 3)
2θ = 55.60°, I = 37, (2 1 5)
2θ = 59.67°, I = 17, (1 1 8)
2θ = 67.02°, I = 19, (2 0 8)

```
data_SrAl2Pb2
_chemical_formula_sum 'Sr2 Al4 Pb4'
_cell_length_a 4.5552
_cell_length_b 4.5552
_cell_length_c 14.1400
_cell_angle_alpha 90.00
_cell_angle_beta 90.00
_cell_angle_gamma 90.00
_symmetry_space_group_name_H-M 'I 4/m m m'
_symmetry_Int_Tables_number 139
_symmetry_space_group_name_Hall '-I 4 2'
loop_
_atom_site_label
_atom_site_fract_x
_atom_site_fract_y
_atom_site_fract_z
_atom_site_occupancy
Sr1 0.0000 0.0000 0.0000 1
Al1 0.0000 0.5000 0.2500 1
Pb1 0.0000 0.0000 0.3786 1
```

6.
This entry pairs a crystal structure of SiGe with its calculated PXRD pattern. Radiation: Cu Kα, 1.54184 Å. Structure: a cell relaxed with GGA-PBE.
Peak positions follow from Bragg's law for the DFT cell and can differ from measured ones.

Main lines, in order of rising 2θ (10° ≤ 2θ ≤ 90°):
2θ = 11.17°, I = 7, (1 0 1)
2θ = 17.71°, I = 5, (2 0 -1)
2θ = 19.41°, I = 5, (1 1 1)
2θ = 23.83°, I = 4, (2 1 -1)
2θ = 27.59°, I = 100, (2 1 -2)
2θ = 29.85°, I = 4, (3 1 -1)
2θ = 41.09°, I = 3, (3 2 -1)
2θ = 45.83°, I = 72, (4 0 -4)
2θ = 54.33°, I = 43, (6 1 -2)
2θ = 66.82°, I = 11, (8 0 0)
2θ = 73.75°, I = 17, (6 1 -6)
2θ = 84.81°, I = 23, (8 2 -4)

```
data_SiGe
_chemical_formula_sum 'Si16 Ge16'
_cell_length_a 11.1994
_cell_length_b 5.6006
_cell_length_c 11.2008
_cell_angle_alpha 90.00
_cell_angle_beta 90.01
_cell_angle_gamma 90.00
_symmetry_space_group_name_H-M 'P 1 21 1'
_symmetry_Int_Tables_number 4
loop_
_symmetry_equiv_pos_as_xyz
'x,y,z'
'-x,y+1/2,-z'
loop_
_atom_site_label
_atom_site_fract_x
_atom_site_fract_y
_atom_site_fract_z
_atom_site_occupancy
Si1 0.0011 0.0000 0.1265 1
Si2 0.1227 0.2404 0.2501 1
Si3 0.1273 0.7407 0.5022 1
Si4 0.2509 0.9914 0.8711 1
Si5 0.2532 0.5001 0.6234 1
Si6 0.3727 0.7513 0.7453 1
Si7 0.3773 0.2511 0.5022 1
Si8 0.4967 0.9917 0.6211 1
Ge1 0.0011 0.4914 0.3766 1
Ge2 0.1227 0.7514 0.9976 1
Ge3 0.1273 0.2513 0.7501 1
Ge4 0.2466 0.4915 0.1265 1
Ge5 0.2488 0.0003 0.3788 1
Ge6 0.3727 0.2403 0.9976 1
Ge7 0.3773 0.7405 0.2546 1
Ge8 0.4967 0.5006 0.8712 1
```

7.
This entry pairs a crystal structure of K3Cu8S6 with its calculated PXRD pattern. Radiation: Cu Kα, 1.54184 Å. Structure: a cell relaxed with GGA-PBE.
Peak positions follow from Bragg's law for the DFT cell and can differ from measured ones.

Main lines, in order of rising 2θ (10° ≤ 2θ ≤ 90°):
2θ = 10.65°, I = 15, (2 0 0)
2θ = 12.01°, I = 100, (2 0 -1)
2θ = 30.32°, I = 11, (4 0 -3)
2θ = 31.35°, I = 18, (3 1 -2)
2θ = 35.66°, I = 43, (5 1 0)
2θ = 38.43°, I = 25, (1 1 3)
2θ = 43.45°, I = 17, (7 1 -1)
2θ = 43.90°, I = 22, (1 1 -4)
2θ = 47.14°, I = 19, (0 2 0)
2θ = 49.59°, I = 11, (6 0 3)
2θ = 52.12°, I = 12, (3 1 -5)
2θ = 70.82°, I = 7, (6 2 3)

```
data_K3Cu8S6
_chemical_formula_sum 'K6 Cu16 S12'
_cell_length_a 17.3349
_cell_length_b 3.8560
_cell_length_c 9.8706
_cell_angle_alpha 90.00
_cell_angle_beta 106.52
_cell_angle_gamma 90.00
_symmetry_space_group_name_H-M 'C 1 2/m 1'
_symmetry_Int_Tables_number 12
loop_
_symmetry_equiv_pos_as_xyz
'x,y,z'
'-x,-y,-z'
'-x,y,-z'
'x,-y,z'
'x+1/2,y+1/2,z'
'-x+1/2,-y+1/2,-z'
'-x+1/2,y+1/2,-z'
'x+1/2,-y+1/2,z'
loop_
_atom_site_label
_atom_site_fract_x
_atom_site_fract_y
_atom_site_fract_z
_atom_site_occupancy
K1 0.0000 0.0000 0.0000 1
K2 0.1931 0.0000 0.2949 1
Cu1 0.0138 0.0000 0.6401 1
Cu2 0.0901 0.5000 0.5357 1
Cu3 0.0927 0.5000 0.7971 1
Cu4 0.1961 0.0000 0.9128 1
S1 0.0444 0.5000 0.2965 1
S2 0.1529 0.0000 0.6532 1
S3 0.1610 0.5000 0.0237 1
```

8.
This entry pairs a crystal structure of ZrMn2 with its calculated PXRD pattern. Radiation: Cu Kα, 1.54184 Å. Structure: a cell relaxed with GGA-PBE.
Peak positions follow from Bragg's law for the DFT cell and can differ from measured ones.

Main lines, in order of rising 2θ (10° ≤ 2θ ≤ 90°):
2θ = 34.42°, I = 15, (1 0 5)
2θ = 36.33°, I = 48, (1 1 0)
2θ = 39.07°, I = 67, (1 0 6)
2θ = 42.58°, I = 19, (2 0 1)
2θ = 42.69°, I = 100, (1 1 4)
2θ = 43.69°, I = 52, (2 0 2)
2θ = 44.02°, I = 17, (1 0 7)
2θ = 44.14°, I = 12, (0 0 8)
2θ = 67.20°, I = 24, (2 1 6)
2θ = 69.75°, I = 21, (3 0 4)
2θ = 72.56°, I = 21, (2 0 10)
2θ = 77.15°, I = 22, (2 2 0)

```
data_ZrMn2
_chemical_formula_sum 'Zr8 Mn16'
_cell_length_a 4.9452
_cell_length_b 4.9452
_cell_length_c 16.4153
_cell_angle_alpha 90.00
_cell_angle_beta 90.00
_cell_angle_gamma 120.00
_symmetry_space_group_name_H-M 'P 63/m m c'
_symmetry_Int_Tables_number 194
_symmetry_space_group_name_Hall '-P 6c 2c'
loop_
_atom_site_label
_atom_site_fract_x
_atom_site_fract_y
_atom_site_fract_z
_atom_site_occupancy
Zr1 0.0000 0.0000 0.0930 1
Zr2 0.3333 0.6667 0.1567 1
Mn1 0.0000 0.5000 0.0000 1
Mn2 0.1639 0.3279 0.7500 1
Mn3 0.3333 0.6667 0.6251 1
```

9.
This entry pairs a crystal structure of TbSnPd2 with its calculated PXRD pattern. Radiation: Cu Kα, 1.54184 Å. Structure: a cell relaxed with GGA-PBE.
Peak positions follow from Bragg's law for the DFT cell and can differ from measured ones.

Main lines, in order of rising 2θ (10° ≤ 2θ ≤ 90°):
2θ = 22.59°, I = 1, (1 1 1)
2θ = 26.14°, I = 2, (2 0 0)
2θ = 37.30°, I = 100, (2 2 0)
2θ = 44.05°, I = 1, (3 1 1)
2θ = 46.12°, I = 1, (2 2 2)
2θ = 53.78°, I = 17, (4 0 0)
2θ = 60.75°, I = 1, (4 2 0)
2θ = 67.28°, I = 35, (4 2 2)
2θ = 79.53°, I = 11, (4 4 0)
2θ = 85.44°, I = 1, (6 0 0)

```
data_TbSnPd2
_chemical_formula_sum 'Tb4 Sn4 Pd8'
_cell_length_a 6.8179
_cell_length_b 6.8179
_cell_length_c 6.8179
_cell_angle_alpha 90.00
_cell_angle_beta 90.00
_cell_angle_gamma 90.00
_symmetry_space_group_name_H-M 'F m -3 m'
_symmetry_Int_Tables_number 225
_symmetry_space_group_name_Hall '-F 4 2 3'
loop_
_atom_site_label
_atom_site_fract_x
_atom_site_fract_y
_atom_site_fract_z
_atom_site_occupancy
Tb1 0.0000 0.0000 0.0000 1
Sn1 0.0000 0.0000 0.5000 1
Pd1 0.2500 0.2500 0.2500 1
```

10.
This entry pairs a crystal structure of EuHo2Se4 with its calculated PXRD pattern. Radiation: Cu Kα, 1.54184 Å. Structure: a cell relaxed with GGA-PBE.
Peak positions follow from Bragg's law for the DFT cell and can differ from measured ones.

Main lines, in order of rising 2θ (10° ≤ 2θ ≤ 90°):
2θ = 23.95°, I = 45, (0 0 4)
2θ = 24.46°, I = 94, (3 0 2)
2θ = 25.76°, I = 55, (1 1 2)
2θ = 29.11°, I = 96, (1 1 3)
2θ = 30.98°, I = 50, (4 0 2)
2θ = 31.12°, I = 45, (3 1 1)
2θ = 35.59°, I = 100, (2 1 4)
2θ = 36.06°, I = 46, (4 1 0)
2θ = 39.10°, I = 44, (2 0 6)
2θ = 43.76°, I = 40, (4 1 4)
2θ = 44.04°, I = 90, (0 2 0)
2θ = 45.11°, I = 38, (2 1 6)

```
data_EuHo2Se4
_chemical_formula_sum 'Eu4 Ho8 Se16'
_cell_length_a 12.5201
_cell_length_b 4.1125
_cell_length_c 14.8646
_cell_angle_alpha 90.00
_cell_angle_beta 90.00
_cell_angle_gamma 90.00
_symmetry_space_group_name_H-M 'P n m a'
_symmetry_Int_Tables_number 62
loop_
_symmetry_equiv_pos_as_xyz
'x,y,z'
'-x,-y,-z'
'-x+1/2,-y,z+1/2'
'x+1/2,y,-z+1/2'
'x+1/2,-y+1/2,-z+1/2'
'-x+1/2,y+1/2,z+1/2'
'-x,y+1/2,-z'
'x,-y+1/2,z'
loop_
_atom_site_label
_atom_site_fract_x
_atom_site_fract_y
_atom_site_fract_z
_atom_site_occupancy
Eu1 0.2412 0.2500 0.1647 1
Ho1 0.0646 0.2500 0.3895 1
Ho2 0.0822 0.2500 0.9018 1
Se1 0.0252 0.7500 0.7843 1
Se2 0.0901 0.2500 0.5786 1
Se3 0.1315 0.7500 0.0302 1
Se4 0.2066 0.7500 0.3252 1
```

11.
This entry pairs a crystal structure of U3As4 with its calculated PXRD pattern. Radiation: Cu Kα, 1.54184 Å. Structure: a cell relaxed with GGA-PBE.
Peak positions follow from Bragg's law for the DFT cell and can differ from measured ones.

Main lines, in order of rising 2θ (10° ≤ 2θ ≤ 90°):
2θ = 25.68°, I = 68, (2 1 1)
2θ = 33.34°, I = 100, (3 1 0)
2θ = 39.68°, I = 69, (3 2 1)
2θ = 47.87°, I = 36, (4 2 0)
2θ = 50.36°, I = 23, (3 3 2)
2θ = 52.77°, I = 10, (4 2 2)
2θ = 55.11°, I = 24, (4 3 1)
2θ = 68.00°, I = 38, (6 1 1)
2θ = 70.02°, I = 9, (6 2 0)
2θ = 72.02°, I = 17, (5 4 1)
2θ = 81.71°, I = 8, (6 4 0)
2θ = 83.62°, I = 26, (5 5 2)

```
data_U3As4
_chemical_formula_sum 'U12 As16'
_cell_length_a 8.4981
_cell_length_b 8.4981
_cell_length_c 8.4981
_cell_angle_alpha 90.00
_cell_angle_beta 90.00
_cell_angle_gamma 90.00
_symmetry_space_group_name_H-M 'I -4 3 d'
_symmetry_Int_Tables_number 220
_symmetry_space_group_name_Hall 'I -4bd 2c 3'
loop_
_atom_site_label
_atom_site_fract_x
_atom_site_fract_y
_atom_site_fract_z
_atom_site_occupancy
U1 0.0000 0.2500 0.3750 1
As1 0.0791 0.0791 0.0791 1
```